The following is a calculated X-ray powder pattern of Rb2CeO3. It was derived from DFT lattice parameters and positions (GGA-PBE), using a wavelength of 1.5418 Å.
Lines closer than 0.1° are merged.

Structural model:
Unit cell a=6.425 b=6.425 c=6.939 alpha=99.03 beta=99.03 gamma=119.85
Fractional positions:
Rb1 0.000 0.000 0.000
Rb2 0.157 0.843 0.500
Rb3 0.500 0.500 0.500
Rb4 0.843 0.157 0.500
Ce1 0.333 0.667 0.000
Ce2 0.667 0.333 0.000
O1 0.063 0.461 0.186
O2 0.335 0.335 0.817
O3 0.461 0.063 0.186
O4 0.539 0.937 0.814
O5 0.665 0.665 0.183
O6 0.937 0.539 0.814

Peak list (10 most intense, 2θ from 10° to 90°, in order of falling intensity)
29.2°, d = 3.057 Å, I 100
33.3°, d = 2.691 Å, I 78
27.1°, d = 3.295 Å, I 43
33.1°, d = 2.703 Å, I 40
46.3°, d = 1.961 Å, I 28
49.0°, d = 1.858 Å, I 24
57.0°, d = 1.616 Å, I 24
60.6°, d = 1.529 Å, I 18
13.4°, d = 6.590 Å, I 16
54.6°, d = 1.682 Å, I 14

=====

The following is a calculated X-ray powder pattern of Ce4Re6O19. It was derived from DFT lattice parameters and positions (GGA-PBE), using a wavelength of 1.5418 Å.
Lines closer than 0.1° are merged.

Structural model:
Unit cell a=7.825 b=7.825 c=7.825 alpha=109.47 beta=109.47 gamma=109.47
Fractional positions:
Ce1 0.000 0.000 0.312
Ce2 0.000 0.312 0.000
Ce3 0.312 0.000 0.000
Ce4 0.688 0.688 0.688
Re1 0.134 0.500 0.634
Re2 0.366 0.866 0.500
Re3 0.500 0.366 0.866
Re4 0.500 0.634 0.134
Re5 0.634 0.134 0.500
Re6 0.866 0.500 0.366
O1 0.000 0.000 0.000
O2 0.000 0.317 0.317
O3 0.000 0.683 0.683
O4 0.056 0.700 0.319
O5 0.263 0.644 0.944
O6 0.300 0.356 0.619
O7 0.317 0.000 0.317
O8 0.317 0.317 0.000
O9 0.319 0.056 0.700
O10 0.356 0.619 0.300
O11 0.381 0.737 0.681
O12 0.619 0.300 0.356
O13 0.644 0.944 0.263
O14 0.681 0.381 0.737
O15 0.683 0.000 0.683
O16 0.683 0.683 0.000
O17 0.700 0.319 0.056
O18 0.737 0.681 0.381
O19 0.944 0.263 0.644

Peak list (10 most intense, 2θ from 10° to 90°, in order of falling intensity)
31.3°, d = 2.857 Å, I 100
51.6°, d = 1.772 Å, I 64
37.2°, d = 2.415 Å, I 54
24.1°, d = 3.689 Å, I 36
61.6°, d = 1.506 Å, I 32
19.6°, d = 4.518 Å, I 31
13.9°, d = 6.389 Å, I 23
55.7°, d = 1.650 Å, I 20
49.4°, d = 1.844 Å, I 15
42.4°, d = 2.130 Å, I 14

=====

The following is a calculated X-ray powder pattern of CeRh2O5. It was derived from DFT lattice parameters and positions (GGA-PBE), using a wavelength of 1.5418 Å.
Lines closer than 0.1° are merged.

Structural model:
Unit cell a=7.286 b=9.916 c=5.217 alpha=90.00 beta=90.00 gamma=90.00
Fractional positions:
Ce1 0.236 0.250 0.205
Ce2 0.264 0.750 0.705
Ce3 0.736 0.250 0.295
Ce4 0.764 0.750 0.795
Rh1 0.084 0.559 0.250
Rh2 0.084 0.941 0.250
Rh3 0.416 0.059 0.750
Rh4 0.416 0.441 0.750
Rh5 0.584 0.559 0.250
Rh6 0.584 0.941 0.250
Rh7 0.916 0.059 0.750
Rh8 0.916 0.441 0.750
O1 0.016 0.122 0.406
O2 0.016 0.378 0.406
O3 0.122 0.750 0.080
O4 0.166 0.057 0.935
O5 0.166 0.443 0.935
O6 0.334 0.557 0.435
O7 0.334 0.943 0.435
O8 0.378 0.250 0.580
O9 0.484 0.622 0.906
O10 0.484 0.878 0.906
O11 0.516 0.122 0.094
O12 0.516 0.378 0.094
O13 0.622 0.750 0.420
O14 0.666 0.057 0.565
O15 0.666 0.443 0.565
O16 0.834 0.557 0.065
O17 0.834 0.943 0.065
O18 0.878 0.250 0.920
O19 0.984 0.622 0.594
O20 0.984 0.878 0.594

Peak list (10 most intense, 2θ from 10° to 90°, in order of falling intensity)
32.1°, d = 2.792 Å, I 100
29.9°, d = 2.987 Å, I 52
31.3°, d = 2.860 Å, I 52
30.4°, d = 2.936 Å, I 48
34.4°, d = 2.609 Å, I 34
55.6°, d = 1.652 Å, I 33
46.6°, d = 1.950 Å, I 29
51.2°, d = 1.785 Å, I 23
54.1°, d = 1.694 Å, I 15
35.1°, d = 2.558 Å, I 15

=====

The following is a calculated X-ray powder pattern of Ce4S3O4. It was derived from DFT lattice parameters and positions (GGA-PBE), using a wavelength of 1.5418 Å.
Lines closer than 0.1° are merged.

Structural model:
Unit cell a=6.843 b=14.783 c=3.953 alpha=90.00 beta=90.00 gamma=90.00
Fractional positions:
Ce1 0.208 0.157 0.000
Ce2 0.219 0.922 0.500
Ce3 0.281 0.422 0.500
Ce4 0.292 0.657 0.000
Ce5 0.708 0.343 0.000
Ce6 0.719 0.578 0.500
Ce7 0.781 0.078 0.500
Ce8 0.792 0.843 0.000
S1 0.000 0.500 0.000
S2 0.002 0.280 0.500
S3 0.498 0.780 0.500
S4 0.500 0.000 0.000
S5 0.502 0.220 0.500
S6 0.998 0.720 0.500
O1 0.117 0.877 0.000
O2 0.141 0.073 0.500
O3 0.359 0.573 0.500
O4 0.383 0.377 0.000
O5 0.617 0.623 0.000
O6 0.641 0.427 0.500
O7 0.859 0.927 0.500
O8 0.883 0.123 0.000

Peak list (10 most intense, 2θ from 10° to 90°, in order of falling intensity)
28.7°, d = 3.106 Å, I 100
27.4°, d = 3.252 Å, I 54
43.3°, d = 2.091 Å, I 34
36.8°, d = 2.442 Å, I 31
51.2°, d = 1.784 Å, I 30
26.0°, d = 3.421 Å, I 27
47.6°, d = 1.909 Å, I 22
45.9°, d = 1.976 Å, I 19
35.8°, d = 2.511 Å, I 18
54.3°, d = 1.689 Å, I 16